This entry pairs a crystal structure of Ce3Th3O11 with its calculated XRD peak list. Radiation: Cu Kα X-rays. Structure: the PBE geometry in the Materials Project.

Most intense lines, 2θ from 5° to 70°, low angle first:
(hkl)	2theta	Rel. int.
2 0 -1	27.54	340
1 1 1	27.70	1000
2 0 2	31.95	159
1 1 -2	32.09	320
3 1 0	45.84	337
1 1 4	45.99	223
0 2 0	46.17	112
3 1 -3	54.39	254
2 2 -1	54.55	207
0 2 3	54.67	104

Crystal structure
```
data_Ce3Th3O11
_chemical_formula_sum 'Ce3 Th3 O11'
_cell_length_a 6.874
_cell_length_b 3.933
_cell_length_c 9.676
_cell_angle_alpha 90.00
_cell_angle_beta 90.04
_cell_angle_gamma 90.00
_symmetry_space_group_name_H-M 'P 1 m 1'
_symmetry_Int_Tables_number 6
_symmetry_space_group_name_Hall 'P -2y'
loop_
_atom_site_label
_atom_site_fract_x
_atom_site_fract_y
_atom_site_fract_z
Ce1 0.000 0.000 0.000
Ce2 0.183 0.500 0.350
Ce3 0.528 0.500 0.006
Th1 0.345 0.000 0.678
Th2 0.675 0.000 0.334
Th3 0.846 0.500 0.671
O1 0.010 0.000 0.751
O2 0.033 0.000 0.239
O3 0.180 0.500 0.593
O4 0.327 0.000 0.941
O5 0.351 0.000 0.430
O6 0.496 0.500 0.248
O7 0.516 0.500 0.761
O8 0.679 0.000 0.589
O9 0.681 0.000 0.088
O10 0.842 0.500 0.417
O11 0.862 0.500 0.928
```

This entry pairs a crystal structure of K2NaCeF6 with its calculated XRD peak list. Radiation: Cu Kα X-rays. Structure: the PBE geometry in the Materials Project.

Most intense lines, 2θ from 5° to 70°, low angle first:
(hkl)	2theta	Rel. int.
1 1 1	16.84	671
2 0 0	19.47	407
2 2 0	27.67	1000
3 1 1	32.57	403
4 0 0	39.53	582
3 3 1	43.24	186
4 2 0	44.43	195
4 2 2	48.93	405
4 4 0	57.14	349
6 2 0	64.64	174

Crystal structure
```
data_K2NaCeF6
_chemical_formula_sum 'K8 Na4 Ce4 F24'
_cell_length_a 9.119
_cell_length_b 9.119
_cell_length_c 9.119
_cell_angle_alpha 90.00
_cell_angle_beta 90.00
_cell_angle_gamma 90.00
_symmetry_space_group_name_H-M 'F m -3 m'
_symmetry_Int_Tables_number 225
_symmetry_space_group_name_Hall '-F 4 2 3'
loop_
_atom_site_label
_atom_site_fract_x
_atom_site_fract_y
_atom_site_fract_z
K1 0.250 0.250 0.250
Na1 0.000 0.000 0.000
Ce1 0.000 0.000 0.500
F1 0.000 0.000 0.250
```

This entry pairs a crystal structure of MgVWS4 with its calculated XRD peak list. Radiation: Cu Kα X-rays. Structure: the PBE geometry in the Materials Project.

Most intense lines, 2θ from 5° to 70°, low angle first:
(hkl)	2theta	Rel. int.
0 0 1	14.62	1000
2 0 0	17.24	186
2 0 -2	23.74	133
2 0 1	28.63	251
0 2 1	29.49	546
4 0 0	34.89	225
2 2 -2	35.09	441
2 2 -3	45.47	193
2 2 2	50.32	394
0 4 0	52.31	164

Crystal structure
```
data_MgVWS4
_chemical_formula_sum 'Mg4 V4 W4 S16'
_cell_length_a 12.714
_cell_length_b 6.996
_cell_length_c 7.496
_cell_angle_alpha 90.00
_cell_angle_beta 126.00
_cell_angle_gamma 90.00
_symmetry_space_group_name_H-M 'C 1 2/m 1'
_symmetry_Int_Tables_number 12
_symmetry_space_group_name_Hall '-C 2y'
loop_
_atom_site_label
_atom_site_fract_x
_atom_site_fract_y
_atom_site_fract_z
Mg1 0.126 0.000 0.376
V1 0.000 0.500 0.000
V2 0.000 0.500 0.500
W1 0.250 0.250 0.000
S1 0.011 0.274 0.761
S2 0.241 0.500 0.224
S3 0.241 0.500 0.758
```

This entry pairs a crystal structure of SrAlSi with its calculated XRD peak list. Radiation: Cu Kα X-rays. Structure: the PBE geometry in the Materials Project.

Most intense lines, 2θ from 5° to 70°, low angle first:
(hkl)	2theta	Rel. int.
0 0 1	18.68	34
1 0 0	24.08	240
1 0 1	30.65	1000
0 0 2	37.88	142
1 1 0	42.36	309
1 0 2	45.39	91
2 0 0	49.31	36
2 0 1	53.19	204
1 1 2	58.12	239
1 0 3	63.97	117

Crystal structure
```
data_SrAlSi
_chemical_formula_sum 'Sr1 Al1 Si1'
_cell_length_a 4.2676
_cell_length_b 4.2676
_cell_length_c 4.7499
_cell_angle_alpha 90.00
_cell_angle_beta 90.00
_cell_angle_gamma 120.00
_symmetry_space_group_name_H-M 'P -6 m 2'
_symmetry_Int_Tables_number 187
_symmetry_space_group_name_Hall 'P -6 2'
loop_
_atom_site_label
_atom_site_fract_x
_atom_site_fract_y
_atom_site_fract_z
Sr1 0.0000 0.0000 0.0000
Al1 0.6667 0.3333 0.5000
Si1 0.3333 0.6667 0.5000
```

This entry pairs a crystal structure of CuAuO2 with its calculated XRD peak list. Radiation: Cu Kα X-rays. Structure: the PBE geometry in the Materials Project.

Most intense lines, 2θ from 5° to 70°, low angle first:
(hkl)	2theta	Rel. int.
0 0 3	14.44	430
0 0 6	29.12	468
1 0 1	34.47	345
0 1 2	35.52	1000
1 0 4	39.49	565
1 0 7	49.01	101
0 1 8	52.90	357
1 1 0	61.07	238
1 0 10	61.52	223
1 1 6	69.06	248

Crystal structure
```
data_CuAuO2
_chemical_formula_sum 'Cu3 Au3 O6'
_cell_length_a 3.0349
_cell_length_b 3.0349
_cell_length_c 18.4012
_cell_angle_alpha 90.00
_cell_angle_beta 90.00
_cell_angle_gamma 120.00
_symmetry_space_group_name_H-M 'R -3 m'
_symmetry_Int_Tables_number 166
_symmetry_space_group_name_Hall '-R 3 2"'
loop_
_atom_site_label
_atom_site_fract_x
_atom_site_fract_y
_atom_site_fract_z
Cu1 0.0000 0.0000 0.0000
Au1 0.0000 0.0000 0.5000
O1 0.0000 0.0000 0.3889
```